(1)
The following is a theoretical X-ray diffraction stick pattern of PuTlZn2Cl8. It was derived from DFT lattice parameters and positions (PBE), using Cu Kα, 1.54184 Å.

Structure:
```
data_PuTlZn2Cl8
_chemical_formula_sum 'Pu3 Tl3 Zn6 Cl24'
_symmetry_space_group_name_H-M 'R -3'
_symmetry_Int_Tables_number 148
_symmetry_space_group_name_Hall '-R 3'
_cell_length_a 6.4545
_cell_length_b 6.4545
_cell_length_c 29.5748
_cell_angle_alpha 90.00
_cell_angle_beta 90.00
_cell_angle_gamma 120.00
loop_
_atom_site_label
_atom_site_type_symbol
_atom_site_fract_x
_atom_site_fract_y
_atom_site_fract_z
_atom_site_occupancy
Pu1 Pu 0.0000 0.0000 0.0000 1
Tl1 Tl 0.0000 0.0000 0.5000 1
Zn1 Zn 0.0000 0.0000 0.2481 1
Cl1 Cl 0.0000 0.0000 0.1736 1
Cl2 Cl 0.0011 0.6725 0.3897 1
```

Main lines, most intense first (15° ≤ 2θ ≤ 90°):
| (hkl) | 2θ/deg | I/Imax |
| --- | --- | --- |
| 1 0 4 | 19.91 | 100 |
| 1 1 0 | 27.64 | 44 |
| 1 1 6 | 33.18 | 38 |
| 0 1 8 | 28.96 | 37 |
| 2 -1 12 | 46.36 | 37 |
| 0 2 4 | 34.30 | 34 |
| 3 -1 4 | 44.61 | 29 |
| 0 1 2 | 16.96 | 28 |
| 3 0 0 | 48.88 | 23 |
| 1 2 8 | 49.70 | 17 |
| 2 0 8 | 40.46 | 15 |
| 4 -1 8 | 65.26 | 11 |



(2)
The following is a theoretical X-ray diffraction stick pattern of Rb4MgSe4O14. It was derived from DFT lattice parameters and positions (PBE), using Cu Kα, 1.54184 Å.

Structure:
```
data_Rb4MgSe4O14
_chemical_formula_sum 'Rb4 Mg1 Se4 O14'
_symmetry_space_group_name_H-M 'P 1'
_symmetry_Int_Tables_number 1
_cell_length_a 7.9217
_cell_length_b 7.9341
_cell_length_c 8.3416
_cell_angle_alpha 63.54
_cell_angle_beta 82.25
_cell_angle_gamma 83.04
loop_
_symmetry_equiv_pos_as_xyz
'x,y,z'
loop_
_atom_site_label
_atom_site_type_symbol
_atom_site_fract_x
_atom_site_fract_y
_atom_site_fract_z
_atom_site_occupancy
Rb1 Rb 0.0000 0.0000 0.0000 1
Rb2 Rb 0.1017 0.4514 0.5133 1
Rb3 Rb 0.3477 0.5663 0.9015 1
Rb4 Rb 0.5619 0.8253 0.3522 1
Mg1 Mg 0.7719 0.9542 0.6601 1
Se1 Se 0.0893 0.9675 0.4581 1
Se2 Se 0.4645 0.1157 0.8713 1
Se3 Se 0.6170 0.3541 0.3499 1
Se4 Se 0.8660 0.5209 0.9726 1
O1 O 0.0111 0.0338 0.6301 1
O2 O 0.2308 0.7786 0.5440 1
O3 O 0.3504 0.9435 0.8897 1
O4 O 0.4144 0.3211 0.6985 1
O5 O 0.4343 0.1434 0.0605 1
O6 O 0.4389 0.4752 0.2736 1
O7 O 0.6022 0.1231 0.4696 1
O8 O 0.6760 0.0499 0.8428 1
O9 O 0.7231 0.6737 0.8400 1
O10 O 0.7414 0.4544 0.4183 1
O11 O 0.7425 0.3373 0.1479 1
O12 O 0.9015 0.8717 0.4588 1
O13 O 0.9745 0.6143 0.0642 1
O14 O 0.9860 0.3971 0.8814 1
```

Main lines, most intense first (15° ≤ 2θ ≤ 90°):
| (hkl) | 2θ/deg | I/Imax |
| --- | --- | --- |
| 0 0 2 | 23.96 | 100 |
| 2 0 -1 | 26.67 | 70 |
| 0 2 1 | 22.60 | 50 |
| 1 0 2 | 25.57 | 48 |
| 0 2 0 | 25.16 | 47 |
| 2 0 1 | 24.72 | 45 |
| 1 2 2 | 26.88 | 33 |
| 2 1 1 | 24.45 | 30 |
| -1 2 3 | 37.48 | 29 |
| 1 0 -2 | 27.47 | 29 |
| 1 -2 0 | 28.36 | 29 |
| 0 2 -1 | 32.39 | 27 |



(3)
The following is a theoretical X-ray diffraction stick pattern of PmPrSm4. It was derived from DFT lattice parameters and positions (PBE), using Cu Kα, 1.54184 Å.

Structure:
```
data_PmPrSm4
_chemical_formula_sum 'Pm2 Pr2 Sm8'
_symmetry_space_group_name_H-M 'C 1 2/m 1'
_symmetry_Int_Tables_number 12
_cell_length_a 6.3215
_cell_length_b 10.9421
_cell_length_c 6.3155
_cell_angle_alpha 90.00
_cell_angle_beta 109.51
_cell_angle_gamma 90.00
loop_
_symmetry_equiv_pos_as_xyz
'x,y,z'
'-x,-y,-z'
'-x,y,-z'
'x,-y,z'
'x+1/2,y+1/2,z'
'-x+1/2,-y+1/2,-z'
'-x+1/2,y+1/2,-z'
'x+1/2,-y+1/2,z'
loop_
_atom_site_label
_atom_site_type_symbol
_atom_site_fract_x
_atom_site_fract_y
_atom_site_fract_z
_atom_site_occupancy
Pm1 Pm 0.0000 0.0000 0.0000 1
Pr1 Pr 0.0000 0.5000 0.5000 1
Sm1 Sm 0.0000 0.1668 0.5000 1
Sm2 Sm 0.0000 0.3328 0.0000 1
```

Main lines, most intense first (15° ≤ 2θ ≤ 90°):
| (hkl) | 2θ/deg | I/Imax |
| --- | --- | --- |
| 2 0 0 | 30.00 | 100 |
| 1 3 1 | 34.78 | 51 |
| 3 3 1 | 59.43 | 43 |
| 2 0 2 | 50.01 | 36 |
| 4 0 2 | 81.30 | 18 |
| 4 6 0 | 83.88 | 16 |
| 4 0 0 | 62.36 | 12 |
| 2 6 2 | 73.43 | 6 |



(4)
The following is a theoretical X-ray diffraction stick pattern of AcPd4Pb6. It was derived from DFT lattice parameters and positions (PBE), using Cu Kα, 1.54184 Å.

Structure:
```
data_AcPd4Pb6
_chemical_formula_sum 'Ac2 Pd8 Pb12'
_symmetry_space_group_name_H-M 'I -4 2 m'
_symmetry_Int_Tables_number 121
_symmetry_space_group_name_Hall 'I -4 2'
_cell_length_a 7.3807
_cell_length_b 7.3807
_cell_length_c 10.4742
_cell_angle_alpha 90.00
_cell_angle_beta 90.00
_cell_angle_gamma 90.00
loop_
_atom_site_label
_atom_site_type_symbol
_atom_site_fract_x
_atom_site_fract_y
_atom_site_fract_z
_atom_site_occupancy
Ac1 Ac 0.0000 0.0000 0.0000 1
Pd1 Pd 0.1767 0.1767 0.4283 1
Pb1 Pb 0.0000 0.5000 0.0000 1
Pb2 Pb 0.1740 0.1740 0.7067 1
```

Main lines, most intense first (15° ≤ 2θ ≤ 90°):
| (hkl) | 2θ/deg | I/Imax |
| --- | --- | --- |
| 2 1 1 | 28.33 | 100 |
| 3 0 1 | 37.52 | 93 |
| 2 0 2 | 29.61 | 77 |
| 1 1 4 | 38.48 | 56 |
| 2 2 0 | 34.37 | 39 |
| 4 1 3 | 57.87 | 32 |
| 3 3 0 | 52.58 | 30 |
| 3 1 0 | 38.57 | 29 |
| 2 2 4 | 49.30 | 28 |
| 4 2 4 | 67.03 | 26 |
| 4 2 0 | 55.69 | 20 |
| 3 2 3 | 51.74 | 19 |